Simulated powder X-ray diffraction pattern
Compound: VAg3HgO4
Radiation: Cu Kα (λ = 1.5418 Å)
Structure: a PBE+U-relaxed structure
Neutral-atom scattering factors, no anomalous dispersion.

Structural model:
```
VAg3HgO4
1.0
4.7549 0.0000 0.0000
2.3321 5.4837 0.0000
2.3526 0.0305 5.6013
V Ag Hg O
1 3 1 4
Cartesian
0.0000 0.0000 0.0000
2.4652 1.3865 2.3573
4.5096 2.2355 4.2077
7.1671 4.0520 3.3804
4.4567 3.2400 1.6317
0.9757 1.3964 0.4550
5.7214 4.1441 5.1901
6.0847 5.0411 1.3732
6.1122 0.4471 4.2233
```

Top 8 peaks for 5 to 70 degrees two-theta, sorted by position:
d_spacing, 2θ/deg, intensity, index
5.601, 15.82, 28, 0 0 1
5.484, 16.16, 35, 0 1 0
2.833, 31.58, 100, 1 0 2
2.821, 31.72, 57, 1 -1 0
2.797, 32.00, 67, 1 2 1
2.457, 36.57, 26, 0 2 -1
2.377, 37.84, 27, 2 1 1
2.285, 39.44, 27, 1 2 -1